The following is a computed powder XRD pattern of Mg6CdGa. It was derived from a DFT-relaxed cell (GGA-PBE, the Materials Project), using Cu Kα (λ = 1.5418 Å).

Atomic structure:
Cell: 5.0091 6.4190 10.7839 Å, 90.00 90.00 90.00°
Space group Amm2 (No. 38)
One atom of each set of equivalent atoms:
1 Mg 0.0000 0.0000 0.0000 x2
2 Mg 0.0000 0.0000 0.4980 x2
3 Mg 0.0000 0.2470 0.2459 x4
4 Mg 0.5000 0.2502 0.4149 x4
5 Cd 0.5000 0.0000 0.6643 x2
6 Ga 0.5000 0.0000 0.1638 x2

Principal peaks in the range 2θ = 10–80°, low angle first:
index	d [Å]	Rel. int.
0 0 2	5.392	38
1 0 0	5.009	32
0 2 2	2.758	34
2 0 0	2.505	35
1 2 2	2.416	100
1 0 4	2.374	47